Calculated PXRD pattern
Compound: Cs2Tl3Pd2
Radiation: Cu Ka
Structure: DFT lattice parameters and positions (GGA-PBE)

```
data_Cs2Tl3Pd2
_chemical_formula_sum 'Cs2 Tl3 Pd2'
_cell_length_a 4.615
_cell_length_b 7.122
_cell_length_c 7.961
_cell_angle_alpha 72.42
_cell_angle_beta 73.26
_cell_angle_gamma 71.18
_symmetry_space_group_name_H-M 'P -1'
_symmetry_Int_Tables_number 2
loop_
_symmetry_equiv_pos_as_xyz
'x,y,z'
'-x,-y,-z'
loop_
_atom_site_label
_atom_site_fract_x
_atom_site_fract_y
_atom_site_fract_z
_atom_site_occupancy
Cs1 0.142 0.491 0.226 1
Tl1 0.347 0.862 0.443 1
Tl2 0.500 0.000 0.000 1
Pd1 0.109 0.988 0.794 1
```

Top 8 peaks for 2θ = 10–90°, low angle first:
2θ/deg	I (rel.)	hkl
13.5	100	0 1 0
27.2	43	0 2 0
27.7	76	1 2 1
28.3	41	1 1 -1
29.8	53	1 2 0
35.3	95	1 1 3
37.9	41	-1 1 2
39.0	51	2 1 1